Structure and theoretical powder XRD pattern of GdSiGePd2 (a DFT-relaxed cell (GGA-PBE, OQMD); Cu Ka).

Crystal structure
Unit cell a=4.223 b=4.223 c=10.130 alpha=90.00 beta=90.00 gamma=90.00
Space group I4mm (No. 107)
Asymmetric unit:
1 Gd 0.000 0.000 0.000
2 Si 0.000 0.000 0.378
3 Ge 0.000 0.000 0.614
4 Pd 0.000 0.500 0.256

The 6 most intense peaks (2θ = 5–70°), most intense first:
hkl 1 1 2, 34.88 deg, intensity 100.0
hkl 2 0 0, 42.83 deg, intensity 42.3
hkl 1 0 3, 33.99 deg, intensity 34.3
hkl 2 1 3, 55.77 deg, intensity 16.5
hkl 1 0 5, 49.93 deg, intensity 14.4
hkl 2 2 0, 62.17 deg, intensity 13.8

Structure and theoretical powder XRD pattern of KDyP4O12 (a DFT-relaxed cell (GGA-PBE, OQMD); Cu Ka).

Crystal structure
Unit cell a=7.726 b=12.137 c=10.376 alpha=90.00 beta=111.23 gamma=90.00
Space group C2/c (No. 15)
Asymmetric unit:
1 K 0.000 0.182 0.250
2 Dy 0.000 0.119 0.750
3 P 0.041 0.325 0.999
4 P 0.217 0.478 0.435
5 O 0.062 0.426 0.909
6 O 0.066 0.237 0.599
7 O 0.094 0.369 0.424
8 O 0.145 0.011 0.421
9 O 0.217 0.294 0.116
10 O 0.224 0.023 0.686

The 6 most intense peaks (2θ = 5–70°), most intense first:
hkl 0 2 1, 17.25 deg, intensity 100.0
hkl 1 1 2, 26.69 deg, intensity 86.3
hkl 1 3 -2, 28.55 deg, intensity 80.5
hkl 1 1 -1, 14.35 deg, intensity 77.0
hkl 1 1 -2, 19.45 deg, intensity 48.4
hkl 2 4 0, 38.81 deg, intensity 38.2

Structure and theoretical powder XRD pattern of NaLaHgS3 (a DFT-relaxed cell (GGA-PBE, OQMD); Cu Ka).

Crystal structure
Unit cell a=12.256 b=4.212 c=11.817 alpha=90.00 beta=90.00 gamma=90.00
Space group Pnma (No. 62)
Asymmetric unit:
1 Na 0.133 0.250 0.013
2 La 0.041 0.250 0.676
3 Hg 0.239 0.250 0.295
4 S 0.060 0.750 0.850
5 S 0.082 0.250 0.429
6 S 0.222 0.750 0.161

The 6 most intense peaks (2θ = 5–70°), most intense first:
hkl 2 1 1, 26.77 deg, intensity 100.0
hkl 0 0 2, 14.99 deg, intensity 87.3
hkl 1 1 3, 31.95 deg, intensity 65.4
hkl 4 0 2, 32.93 deg, intensity 31.6
hkl 5 1 3, 48.81 deg, intensity 29.6
hkl 2 1 3, 34.44 deg, intensity 28.7

Structure and theoretical powder XRD pattern of Ba3Zr6BeCl18 (a DFT-relaxed cell (GGA-PBE, OQMD); Cu Ka).

Crystal structure
Unit cell a=9.7707 b=9.7707 c=52.8860 alpha=90.00 beta=90.00 gamma=120.00
Space group R-3c (No. 167, hexagonal axes)
Asymmetric unit:
1 Ba 0.0000 0.0000 0.1114
2 Ba 0.0000 0.0000 0.2500
3 Zr 0.0170 0.2053 0.4748
4 Be 0.0000 0.0000 0.0000
5 Cl 0.0180 0.2166 0.5573
6 Cl 0.0254 0.4443 0.4474
7 Cl 0.0963 0.2367 0.1657

The 6 most intense peaks (2θ = 5–70°), most intense first:
hkl 2 1 13, 35.71 deg, intensity 100.0
hkl 0 1 2, 10.98 deg, intensity 88.8
hkl 1 2 8, 31.06 deg, intensity 84.2
hkl 0 1 8, 17.02 deg, intensity 81.6
hkl 0 1 14, 25.83 deg, intensity 81.5
hkl 4 1 0, 49.36 deg, intensity 69.6

Structure and theoretical powder XRD pattern of Zr4BiPN2 (a DFT-relaxed cell (GGA-PBE, OQMD); Cu Ka).

Crystal structure
Unit cell a=3.4363 b=3.4363 c=13.1134 alpha=90.00 beta=90.00 gamma=120.00
Space group P-6m2 (No. 187)
Asymmetric unit:
1 Zr 0.0000 0.0000 0.1355
2 Zr 0.6667 0.3333 0.3185
3 Bi 0.0000 0.0000 0.5000
4 P 0.6667 0.3333 0.0000
5 N 0.3333 0.6667 0.2296

The 6 most intense peaks (2θ = 5–70°), most intense first:
hkl 1 0 3, 36.53 deg, intensity 100.0
hkl 0 0 1, 6.74 deg, intensity 41.8
hkl 1 0 0, 30.03 deg, intensity 33.7
hkl 1 0 2, 33.06 deg, intensity 32.1
hkl 1 0 8, 64.92 deg, intensity 27.6
hkl 1 1 0, 53.32 deg, intensity 26.7

Structure and theoretical powder XRD pattern of Sm3Er3Te2Os (a DFT-relaxed cell (GGA-PBE, OQMD); Cu Ka).

Crystal structure
Unit cell a=8.3373 b=8.3373 c=4.0886 alpha=90.00 beta=90.00 gamma=120.00
Space group P-62m (No. 189)
Asymmetric unit:
1 Sm 0.0000 0.6044 0.0000
2 Er 0.0000 0.2342 0.5000
3 Te 0.3333 0.6667 0.5000
4 Os 0.0000 0.0000 0.0000

The 6 most intense peaks (2θ = 5–70°), most intense first:
hkl 1 1 1, 30.63 deg, intensity 100.0
hkl 2 0 1, 33.10 deg, intensity 97.0
hkl 2 1 0, 32.82 deg, intensity 66.2
hkl 2 1 1, 39.71 deg, intensity 63.4
hkl 3 0 0, 37.36 deg, intensity 42.6
hkl 3 2 1, 60.28 deg, intensity 38.8

Structure and theoretical powder XRD pattern of ScCd6 (a DFT-relaxed cell (GGA-PBE, OQMD); Cu Ka).

Crystal structure
Unit cell a=8.729 b=8.729 c=8.729 alpha=90.00 beta=90.00 gamma=90.00
Space group Fm-3m (No. 225)
Asymmetric unit:
1 Sc 0.000 0.000 0.000
2 Cd 0.000 0.250 0.250

The 6 most intense peaks (2θ = 5–70°), most intense first:
hkl 2 2 2, 35.63 deg, intensity 100.0
hkl 4 0 0, 41.38 deg, intensity 48.9
hkl 4 4 0, 59.95 deg, intensity 31.0
hkl 2 0 0, 20.35 deg, intensity 19.5
hkl 2 2 0, 28.93 deg, intensity 16.5
hkl 4 2 0, 46.53 deg, intensity 8.9

Structure and theoretical powder XRD pattern of Sm5Sn4 (a DFT-relaxed cell (GGA-PBE, OQMD); Cu Ka).

Crystal structure
Unit cell a=8.195 b=15.757 c=8.341 alpha=90.00 beta=90.00 gamma=90.00
Space group Pnma (No. 62)
Asymmetric unit:
1 Sm 0.018 0.098 0.180
2 Sm 0.133 0.621 0.337
3 Sm 0.199 0.250 0.502
4 Sn 0.066 0.250 0.884
5 Sn 0.175 0.750 0.644
6 Sn 0.207 0.042 0.537

The 6 most intense peaks (2θ = 5–70°), most intense first:
hkl 3 0 1, 34.54 deg, intensity 100.0
hkl 1 3 2, 29.44 deg, intensity 99.5
hkl 2 3 1, 29.65 deg, intensity 58.0
hkl 2 4 1, 33.33 deg, intensity 50.7
hkl 0 4 2, 31.23 deg, intensity 41.2
hkl 0 6 0, 34.13 deg, intensity 32.2

Structure and theoretical powder XRD pattern of CsKAsAu (a DFT-relaxed cell (GGA-PBE, OQMD); Cu Ka).

Crystal structure
Unit cell a=6.508 b=6.663 c=6.732 alpha=90.00 beta=107.67 gamma=90.00
Space group P2_1/m (No. 11)
Asymmetric unit:
1 Cs 0.028 0.250 0.173
2 K 0.328 0.750 0.497
3 As 0.277 0.250 0.739
4 Au 0.500 0.000 0.000

The 6 most intense peaks (2θ = 5–70°), most intense first:
hkl 0 0 1, 13.81 deg, intensity 100.0
hkl 1 2 0, 30.46 deg, intensity 62.7
hkl 2 0 -1, 27.90 deg, intensity 58.7
hkl 1 2 1, 35.42 deg, intensity 54.2
hkl 1 0 -1, 16.60 deg, intensity 45.2
hkl 1 1 -2, 30.34 deg, intensity 38.4

Structure and theoretical powder XRD pattern of TbHoB2Ir2N2 (a DFT-relaxed cell (GGA-PBE, OQMD); Cu Ka).

Crystal structure
Unit cell a=3.743 b=3.743 c=7.443 alpha=90.00 beta=90.00 gamma=90.00
Space group P4mm (No. 99)
Asymmetric unit:
1 Tb 0.000 0.000 0.000
2 Ho 0.500 0.500 0.325
3 B 0.000 0.000 0.507
4 B 0.500 0.500 0.819
5 Ir 0.000 0.500 0.662
6 N 0.000 0.000 0.306
7 N 0.500 0.500 0.021

The 6 most intense peaks (2θ = 5–70°), most intense first:
hkl 1 1 1, 36.02 deg, intensity 100.0
hkl 1 1 2, 41.89 deg, intensity 61.6
hkl 0 0 1, 11.89 deg, intensity 45.3
hkl 0 0 3, 36.21 deg, intensity 40.1
hkl 1 0 1, 26.66 deg, intensity 39.3
hkl 2 0 0, 48.66 deg, intensity 38.0

Structure and theoretical powder XRD pattern of BiPt5 (a DFT-relaxed cell (GGA-PBE, OQMD); Cu Ka).

Crystal structure
Unit cell a=3.026 b=3.026 c=33.124 alpha=90.00 beta=90.00 gamma=90.00
Space group P4/nmm (No. 129, origin choice 2)
Asymmetric unit:
1 Bi 0.250 0.250 0.200
2 Pt 0.250 0.250 0.316
3 Pt 0.250 0.250 0.421
4 Pt 0.250 0.250 0.527
5 Pt 0.250 0.250 0.632
6 Pt 0.250 0.250 0.740

The 6 most intense peaks (2θ = 5–70°), most intense first:
hkl 1 0 9, 38.52 deg, intensity 100.0
hkl 0 0 2, 5.34 deg, intensity 87.2
hkl 1 1 0, 42.27 deg, intensity 62.6
hkl 1 0 10, 40.37 deg, intensity 49.9
hkl 2 0 0, 61.29 deg, intensity 21.2
hkl 1 1 19, 69.56 deg, intensity 15.9